Theoretical X-ray powder pattern
Compound: ErV6Ga6
Radiation: copper Kα
Structure: a structure optimized by DFT (PBE)
Intensities are scaled so that the largest is 100.

The 10 most intense peaks (2θ = 15–90°), low angle first:
31.39 deg, d 2.850, intensity 23; 34.48 deg, d 2.601, intensity 26; 34.66 deg, d 2.588, intensity 32; 34.88 deg, d 2.572, intensity 60; 39.96 deg, d 2.256, intensity 46; 40.17 deg, d 2.245, intensity 78; 40.35 deg, d 2.235, intensity 100; 45.25 deg, d 2.004, intensity 33; 72.84 deg, d 1.299, intensity 24; 73.66 deg, d 1.286, intensity 19

Crystal structure
Unit cell a=6.843 b=6.843 c=6.843 alpha=135.56 beta=98.96 gamma=97.49
Positions (direct):
Er 0.000 0.000 0.000
V 0.000 0.000 0.500
V 0.000 0.500 0.000
V 0.242 0.742 0.500
V 0.500 0.000 0.000
V 0.500 0.500 0.500
V 0.758 0.258 0.500
Ga 0.182 0.500 0.682
Ga 0.316 0.316 0.000
Ga 0.344 0.000 0.344
Ga 0.656 0.000 0.656
Ga 0.684 0.684 0.000
Ga 0.818 0.500 0.318

Theoretical X-ray powder pattern
Compound: Y3ErGa8
Radiation: copper Kα
Structure: a structure optimized by DFT (PBE)
Intensities are scaled so that the largest is 100.

The 10 most intense peaks (2θ = 15–90°), low angle first:
32.36 deg, d 2.767, intensity 42; 32.64 deg, d 2.743, intensity 42; 38.09 deg, d 2.362, intensity 55; 38.34 deg, d 2.348, intensity 100; 38.47 deg, d 2.340, intensity 51; 40.21 deg, d 2.243, intensity 44; 61.90 deg, d 1.499, intensity 25; 62.07 deg, d 1.495, intensity 24; 67.74 deg, d 1.383, intensity 26; 68.40 deg, d 1.372, intensity 26

Crystal structure
Unit cell a=9.612 b=9.612 c=9.612 alpha=33.16 beta=33.16 gamma=33.16
Positions (direct):
Y 0.000 0.000 0.000
Y 0.124 0.124 0.124
Y 0.500 0.500 0.500
Er 0.624 0.624 0.624
Ga 0.061 0.562 0.562
Ga 0.062 0.062 0.562
Ga 0.062 0.562 0.062
Ga 0.312 0.312 0.312
Ga 0.562 0.061 0.562
Ga 0.562 0.062 0.062
Ga 0.562 0.562 0.061
Ga 0.812 0.812 0.812

Theoretical X-ray powder pattern
Compound: ErZn5Ga2
Radiation: copper Kα
Structure: a structure optimized by DFT (PBE)
Intensities are scaled so that the largest is 100.

The 10 most intense peaks (2θ = 15–90°), low angle first:
31.68 deg, d 2.824, intensity 51; 34.89 deg, d 2.572, intensity 100; 35.81 deg, d 2.508, intensity 93; 38.54 deg, d 2.336, intensity 24; 44.03 deg, d 2.057, intensity 25; 44.95 deg, d 2.017, intensity 62; 45.87 deg, d 1.978, intensity 41; 48.04 deg, d 1.894, intensity 24; 66.17 deg, d 1.412, intensity 37; 77.46 deg, d 1.232, intensity 17

Crystal structure
Unit cell a=6.371 b=6.371 c=6.371 alpha=143.82 beta=110.98 gamma=80.49
Positions (direct):
Er 0.000 0.000 0.000
Zn 0.180 0.365 0.815
Zn 0.451 0.635 0.815
Zn 0.500 0.000 0.500
Zn 0.549 0.365 0.185
Zn 0.820 0.635 0.185
Ga 0.239 0.739 0.500
Ga 0.761 0.261 0.500